# 1
Starting from a GGA+U-relaxed structure, the powder X-ray diffraction pattern of CrAgPO4 was computed for Cu Kα X-rays.
Kinematic intensities with the Lorentz-polarization factor, no thermal factor.

Main lines, in order of falling intensity (5 to 70 degrees two-theta):
d/Å  intensity  hkl
2.840  100  0 2 0
3.052  59  1 1 1
3.831  36  1 1 0
4.741  34  1 0 -1
2.780  29  1 1 -2
2.360  24  2 1 0
2.492  24  1 2 0
5.187  19  1 0 0
2.673  17  2 0 -1
3.188  16  1 0 -2

Lattice parameters (Å, degrees): 5.3895 5.6826 6.8087 90.00 105.74 90.00
Space group P2_1/m (No. 11)
Unique sites:
Cr: 0.2395 0.2500 0.0414 x2
Ag: 0.3567 0.7500 0.3661 x2
P: 0.2287 0.7500 0.8347 x2
O: 0.0526 0.5313 0.8111 x4
O: 0.4218 0.7500 0.6992 x2
O: 0.4284 0.7500 0.0547 x2

# 2
Starting from a GGA+U-relaxed structure, the powder X-ray diffraction pattern of PuCr2AgO8 was computed for Cu Kα X-rays.
Kinematic intensities with the Lorentz-polarization factor, no thermal factor.

Main lines, in order of falling intensity (5 to 70 degrees two-theta):
d/Å  intensity  hkl
5.044  100  1 0 0
2.750  74  0 1 2
2.912  66  1 1 0
3.999  54  1 0 1
2.000  39  2 0 2
1.648  31  1 2 2
2.178  27  1 1 2
1.907  17  2 1 0
1.681  13  3 0 0
1.429  12  1 1 4

Lattice parameters (Å, degrees): 5.8247 5.8247 6.5612 90.00 90.00 120.00
Space group P-3m1 (No. 164)
Unique sites:
Pu: 0.0000 0.0000 0.0000 x1
Cr: 0.3333 0.6667 0.7094 x2
Ag: 0.0000 0.0000 0.5000 x1
O: 0.1703 0.3407 0.7975 x6
O: 0.3333 0.6667 0.4632 x2

# 3
Starting from a GGA+U-relaxed structure, the powder X-ray diffraction pattern of CrAgSe2O8 was computed for Cu Kα X-rays.
Kinematic intensities with the Lorentz-polarization factor, no thermal factor.

Main lines, in order of falling intensity (5 to 70 degrees two-theta):
d/Å  intensity  hkl
3.469  100  1 0 4
2.469  35  1 1 0
2.437  25  0 1 8
2.012  18  0 2 4
1.560  17  3 -1 4
1.543  16  1 1 12
1.426  11  3 0 0
1.734  10  2 0 8
1.419  10  1 2 8
2.635  9  0 0 9

Lattice parameters (Å, degrees): 4.9387 4.9387 23.7188 90.00 90.00 120.00
Space group R-3 (No. 148, hexagonal axes)
Unique sites:
Cr: 0.0000 0.0000 0.0000 x3
Ag: 0.0000 0.0000 0.5000 x3
Se: 0.0000 0.0000 0.2592 x6
O: 0.0000 0.0000 0.1895 x6
O: 0.0013 0.3528 0.3846 x18